# 1
The following is a theoretical powder XRD pattern of BaTbO3. It was derived from a GGA-PBE-relaxed structure, using Cu Kα X-rays.

Most intense lines, 2θ = 15–90°, by angle:
| 2θ (°) | intensity |
| --- | --- |
| 27.40 | 52.9 |
| 28.36 | 100.0 |
| 28.51 | 48.8 |
| 28.67 | 48.2 |
| 28.93 | 51.7 |
| 39.80 | 30.8 |
| 40.35 | 26.1 |
| 50.79 | 32.9 |

Structural model:
```
BaTbO3
1.0
6.178 0.000 0.000
3.023 5.445 0.000
2.843 1.947 5.242
Ba Tb O
2 2 6
Direct
0.000 0.000 0.000
0.477 0.521 0.485
0.238 0.261 0.243
0.739 0.761 0.743
0.003 0.562 0.443
0.064 0.572 0.918
0.412 0.952 0.568
0.475 0.961 0.041
0.576 0.422 0.037
0.901 0.100 0.450
```

***

# 2
The following is a theoretical powder XRD pattern of Li2CuSiO4. It was derived from a GGA-PBE-relaxed structure, using Cu Kα X-rays.

Most intense lines, 2θ = 15–90°, by angle:
| 2θ (°) | intensity |
| --- | --- |
| 16.85 | 52.8 |
| 24.18 | 100.0 |
| 28.35 | 46.7 |
| 33.16 | 49.9 |
| 34.06 | 63.7 |
| 34.83 | 45.5 |
| 60.42 | 27.9 |
| 61.94 | 24.2 |

Structural model:
```
Li2CuSiO4
1.0
10.524 0.000 0.000
0.000 6.295 0.000
0.000 0.000 5.152
Li Cu Si O
8 4 4 16
Direct
0.169 0.011 0.202
0.169 0.489 0.202
0.331 0.511 0.702
0.331 0.989 0.702
0.669 0.011 0.298
0.669 0.489 0.298
0.831 0.511 0.798
0.831 0.989 0.798
0.087 0.750 0.811
0.413 0.250 0.311
0.587 0.750 0.689
0.913 0.250 0.189
0.077 0.250 0.693
0.423 0.750 0.193
0.577 0.250 0.807
0.923 0.750 0.307
0.072 0.750 0.210
0.082 0.250 0.374
0.152 0.038 0.807
0.152 0.462 0.807
0.348 0.538 0.307
0.348 0.962 0.307
0.418 0.750 0.874
0.428 0.250 0.710
0.572 0.750 0.290
0.582 0.250 0.126
0.652 0.038 0.693
0.652 0.462 0.693
0.848 0.538 0.193
0.848 0.962 0.193
0.918 0.750 0.626
0.928 0.250 0.790
```

***

# 3
The following is a theoretical powder XRD pattern of SmInPt. It was derived from a GGA-PBE-relaxed structure, using Cu Kα X-rays.

Most intense lines, 2θ = 15–90°, by angle:
| 2θ (°) | intensity |
| --- | --- |
| 20.59 | 17.5 |
| 23.25 | 26.6 |
| 31.25 | 100.0 |
| 31.69 | 26.1 |
| 36.07 | 65.0 |
| 43.35 | 46.7 |
| 48.45 | 19.5 |
| 61.09 | 28.4 |

Structural model:
```
SmInPt
1.0
8.627 0.000 0.000
-4.313 7.471 0.000
0.000 0.000 3.825
Sm In Pt
3 3 3
Direct
0.000 0.626 0.000
0.374 0.374 0.000
0.626 0.000 0.000
0.000 0.251 0.500
0.251 0.000 0.500
0.749 0.749 0.500
0.000 0.000 0.000
0.333 0.667 0.000
0.667 0.333 0.000
```

***

# 4
The following is a theoretical powder XRD pattern of DySbPd. It was derived from a GGA-PBE-relaxed structure, using Cu Kα X-rays.

Most intense lines, 2θ = 15–90°, by angle:
| 2θ (°) | intensity |
| --- | --- |
| 25.35 | 14.7 |
| 32.96 | 100.0 |
| 39.13 | 78.3 |
| 43.00 | 22.5 |
| 52.06 | 27.4 |
| 64.47 | 10.0 |
| 67.02 | 25.5 |
| 70.91 | 13.4 |

Structural model:
```
DySbPd
1.0
4.604 0.000 0.000
-2.302 3.987 0.000
0.000 0.000 7.428
Dy Sb Pd
2 2 2
Direct
0.000 0.000 0.000
0.000 0.000 0.500
0.333 0.667 0.273
0.667 0.333 0.773
0.333 0.667 0.665
0.667 0.333 0.165
```

***

# 5
The following is a theoretical powder XRD pattern of CsMg6SiO8. It was derived from a GGA-PBE-relaxed structure, using Cu Kα X-rays.

Most intense lines, 2θ = 15–90°, by angle:
| 2θ (°) | intensity |
| --- | --- |
| 18.11 | 34.6 |
| 21.02 | 32.4 |
| 28.05 | 27.5 |
| 33.59 | 44.5 |
| 36.69 | 100.0 |
| 43.26 | 26.7 |
| 52.87 | 31.3 |
| 57.99 | 41.2 |

Structural model:
```
CsMg6SiO8
1.0
4.898 0.000 0.000
0.000 4.898 0.000
0.000 0.000 8.365
Cs Mg Si O
1 6 1 8
Direct
0.000 0.000 0.000
0.000 0.500 0.253
0.000 0.500 0.747
0.500 0.000 0.253
0.500 0.000 0.747
0.500 0.500 0.000
0.500 0.500 0.500
0.000 0.000 0.500
0.000 0.000 0.305
0.000 0.000 0.695
0.000 0.500 0.000
0.000 0.500 0.500
0.500 0.000 0.000
0.500 0.000 0.500
0.500 0.500 0.252
0.500 0.500 0.748
```

***

# 6
The following is a theoretical powder XRD pattern of Mg2Sn. It was derived from a GGA-PBE-relaxed structure, using Cu Kα X-rays.

Most intense lines, 2θ = 15–90°, by angle:
| 2θ (°) | intensity |
| --- | --- |
| 27.76 | 20.2 |
| 31.24 | 27.5 |
| 31.71 | 55.4 |
| 33.36 | 41.2 |
| 35.53 | 100.0 |
| 37.57 | 48.1 |
| 58.53 | 26.7 |
| 61.04 | 21.0 |

Structural model:
```
Mg2Sn
1.0
3.389 0.000 0.000
0.000 16.046 0.000
0.000 0.000 5.372
Mg Sn
8 4
Direct
0.000 0.054 0.250
0.000 0.390 0.250
0.000 0.610 0.750
0.000 0.946 0.750
0.500 0.110 0.750
0.500 0.446 0.750
0.500 0.554 0.250
0.500 0.890 0.250
0.000 0.280 0.750
0.000 0.720 0.250
0.500 0.220 0.250
0.500 0.780 0.750
```

***

# 7
The following is a theoretical powder XRD pattern of Ba5CrN5. It was derived from a GGA-PBE-relaxed structure, using Cu Kα X-rays.

Most intense lines, 2θ = 15–90°, by angle:
| 2θ (°) | intensity |
| --- | --- |
| 22.69 | 41.0 |
| 26.28 | 53.6 |
| 27.84 | 100.0 |
| 29.21 | 30.5 |
| 30.07 | 64.6 |
| 32.81 | 29.4 |
| 35.52 | 28.8 |
| 53.82 | 29.8 |

Structural model:
```
Ba5CrN5
1.0
5.336 -5.945 0.000
5.336 5.945 0.000
-3.396 0.000 8.885
Ba Cr N
10 2 10
Direct
0.075 0.075 0.201
0.092 0.563 0.242
0.336 0.336 0.007
0.389 0.389 0.617
0.437 0.908 0.758
0.563 0.092 0.242
0.611 0.611 0.383
0.664 0.664 0.993
0.908 0.437 0.758
0.925 0.925 0.799
0.243 0.757 0.000
0.757 0.243 0.000
0.024 0.717 0.008
0.270 0.614 0.839
0.283 0.976 0.992
0.348 0.348 0.312
0.386 0.730 0.161
0.614 0.270 0.839
0.652 0.652 0.688
0.717 0.024 0.008
0.730 0.386 0.161
0.976 0.283 0.992
```

***

# 8
The following is a theoretical powder XRD pattern of Sc6InCo2. It was derived from a GGA-PBE-relaxed structure, using Cu Kα X-rays.

Most intense lines, 2θ = 15–90°, by angle:
| 2θ (°) | intensity |
| --- | --- |
| 20.07 | 45.4 |
| 34.49 | 100.0 |
| 36.75 | 31.1 |
| 37.40 | 50.9 |
| 37.86 | 41.1 |
| 40.84 | 28.1 |
| 50.94 | 22.2 |
| 64.58 | 17.9 |

Structural model:
```
Sc6InCo2
1.0
-4.419 4.439 4.665
4.419 -4.439 4.665
4.419 4.439 -4.665
Sc In Co
12 2 4
Direct
0.019 0.235 0.784
0.190 0.284 0.475
0.190 0.716 0.906
0.313 0.014 0.701
0.313 0.612 0.299
0.452 0.235 0.216
0.548 0.765 0.784
0.687 0.388 0.701
0.687 0.986 0.299
0.810 0.284 0.094
0.810 0.716 0.525
0.981 0.765 0.216
0.000 0.000 0.000
0.500 0.500 0.000
0.118 0.618 0.500
0.370 0.000 0.370
0.630 0.000 0.630
0.882 0.382 0.500
```

***

# 9
The following is a theoretical powder XRD pattern of Fe4C. It was derived from a GGA-PBE-relaxed structure, using Cu Kα X-rays.

Most intense lines, 2θ = 15–90°, by angle:
| 2θ (°) | intensity |
| --- | --- |
| 37.17 | 33.6 |
| 41.09 | 54.5 |
| 43.32 | 100.0 |
| 44.89 | 42.8 |
| 45.64 | 85.3 |
| 46.35 | 77.0 |
| 46.47 | 93.2 |
| 49.52 | 57.8 |

Structural model:
```
Fe4C
1.0
6.008 0.000 0.000
0.000 2.653 0.000
-1.232 0.000 6.227
Fe C
8 2
Direct
0.022 0.250 0.183
0.184 0.250 0.564
0.327 0.250 0.965
0.395 0.750 0.320
0.605 0.250 0.680
0.673 0.750 0.035
0.816 0.750 0.436
0.978 0.750 0.817
0.377 0.750 0.747
0.623 0.250 0.253
```

***

# 10
The following is a theoretical powder XRD pattern of DyO3. It was derived from a GGA-PBE-relaxed structure, using Cu Kα X-rays.

Most intense lines, 2θ = 15–90°, by angle:
| 2θ (°) | intensity |
| --- | --- |
| 22.06 | 41.0 |
| 29.30 | 100.0 |
| 38.68 | 58.8 |
| 44.96 | 24.2 |
| 49.27 | 51.0 |
| 55.84 | 24.8 |
| 64.33 | 37.9 |
| 83.00 | 14.8 |

Structural model:
```
DyO3
1.0
4.653 0.000 0.000
-2.326 4.030 0.000
0.000 0.000 4.660
Dy O
2 6
Direct
0.333 0.667 0.250
0.667 0.333 0.750
0.181 0.362 0.750
0.181 0.819 0.750
0.362 0.181 0.250
0.638 0.819 0.750
0.819 0.181 0.250
0.819 0.638 0.250
```

***

Please write out number 1 again, unchanged.
The following is a theoretical powder XRD pattern of BaTbO3. It was derived from a GGA-PBE-relaxed structure, using Cu Kα X-rays.

Most intense lines, 2θ = 15–90°, by angle:
| 2θ (°) | intensity |
| --- | --- |
| 27.40 | 52.9 |
| 28.36 | 100.0 |
| 28.51 | 48.8 |
| 28.67 | 48.2 |
| 28.93 | 51.7 |
| 39.80 | 30.8 |
| 40.35 | 26.1 |
| 50.79 | 32.9 |

Structural model:
```
BaTbO3
1.0
6.178 0.000 0.000
3.023 5.445 0.000
2.843 1.947 5.242
Ba Tb O
2 2 6
Direct
0.000 0.000 0.000
0.477 0.521 0.485
0.238 0.261 0.243
0.739 0.761 0.743
0.003 0.562 0.443
0.064 0.572 0.918
0.412 0.952 0.568
0.475 0.961 0.041
0.576 0.422 0.037
0.901 0.100 0.450
```